# 1
This entry pairs a crystal structure of TbEr3Tl2 with its theoretical powder X-ray diffraction pattern. Radiation: a wavelength of 1.5418 Å. Structure: DFT lattice parameters and positions (GGA-PBE).
Neutral-atom scattering factors, no anomalous dispersion.

Structure:
abc: 5.0586 9.9004 6.8088
angles: 90.00 90.00 90.00
Fractional positions:
Tb  0.0000  0.0430  0.0000
Tb  0.0000  0.9570  0.5000
Er  0.0000  0.3139  0.6218
Er  0.0000  0.6861  0.1218
Er  0.5000  0.1902  0.2830
Er  0.5000  0.4563  0.9063
Er  0.5000  0.5437  0.4063
Er  0.5000  0.8098  0.7830
Tl  0.0000  0.3675  0.1614
Tl  0.0000  0.6325  0.6614
Tl  0.5000  0.1333  0.7431
Tl  0.5000  0.8667  0.2431

Main lines, most intense first (2θ = 10–90°):
index  2theta  I_rel
1 3 0  32.39  1000
1 1 2  32.98  831
1 0 2  31.68  637
2 0 0  35.49  608
1 3 1  35.04  385
0 3 2  37.97  264
0 2 2  31.90  221
0 3 1  30.09  206
2 3 2  52.95  205
3 3 0  61.78  169

# 2
This entry pairs a crystal structure of Tb3Er3Tl with its theoretical powder X-ray diffraction pattern. Radiation: a wavelength of 1.5418 Å. Structure: DFT lattice parameters and positions (GGA-PBE).
Neutral-atom scattering factors, no anomalous dispersion.

Structure:
abc: 9.3786 9.3786 5.5163
angles: 90.00 90.00 120.00
Fractional positions:
Tb  0.1066  0.4785  0.2500
Tb  0.3719  0.8934  0.2500
Tb  0.4785  0.3719  0.7500
Tb  0.5215  0.6281  0.2500
Tb  0.6281  0.1066  0.7500
Tb  0.8934  0.5215  0.7500
Er  0.0619  0.2391  0.7500
Er  0.1773  0.9381  0.7500
Er  0.2391  0.1773  0.2500
Er  0.7609  0.8227  0.7500
Er  0.8227  0.0619  0.2500
Er  0.9381  0.7609  0.2500
Tl  0.3333  0.6667  0.7500
Tl  0.6667  0.3333  0.2500

Main lines, most intense first (2θ = 10–90°):
index  2theta  I_rel
2 1 1  33.40  1000
0 0 2  32.46  243
2 1 0  29.09  237
1 4 2  62.27  212
2 1 3  58.51  203
1 4 0  51.57  186
2 1 2  44.14  153
4 2 1  62.84  151
7 0 1  85.52  123
4 2 3  81.72  73

What did the first record say?
This entry pairs a crystal structure of TbEr3Tl2 with its theoretical powder X-ray diffraction pattern. Radiation: a wavelength of 1.5418 Å. Structure: DFT lattice parameters and positions (GGA-PBE).
Neutral-atom scattering factors, no anomalous dispersion.

Structure:
abc: 5.0586 9.9004 6.8088
angles: 90.00 90.00 90.00
Fractional positions:
Tb  0.0000  0.0430  0.0000
Tb  0.0000  0.9570  0.5000
Er  0.0000  0.3139  0.6218
Er  0.0000  0.6861  0.1218
Er  0.5000  0.1902  0.2830
Er  0.5000  0.4563  0.9063
Er  0.5000  0.5437  0.4063
Er  0.5000  0.8098  0.7830
Tl  0.0000  0.3675  0.1614
Tl  0.0000  0.6325  0.6614
Tl  0.5000  0.1333  0.7431
Tl  0.5000  0.8667  0.2431

Main lines, most intense first (2θ = 10–90°):
index  2theta  I_rel
1 3 0  32.39  1000
1 1 2  32.98  831
1 0 2  31.68  637
2 0 0  35.49  608
1 3 1  35.04  385
0 3 2  37.97  264
0 2 2  31.90  221
0 3 1  30.09  206
2 3 2  52.95  205
3 3 0  61.78  169